Structure and simulated PXRD pattern of NiBIr2F (a structure optimized by DFT (PBE+U); Cu Kα X-rays).

Principal peaks in the range 2θ = 15–90°, sorted by position:
24.67°, rel. 44
29.01°, rel. 45
38.44°, rel. 100
41.49°, rel. 48
48.87°, rel. 29
50.59°, rel. 13
59.37°, rel. 13
60.12°, rel. 16
67.42°, rel. 22
73.65°, rel. 30

Structure:
```
NiBIr2F
1.0
4.3532 0.0000 0.0000
0.0000 4.3532 0.0000
0.0000 0.0000 3.6086
Ni B Ir F
1 1 2 1
direct
0.0000 0.0000 0.0000 Ni
0.5000 0.5000 0.0000 B
0.0000 0.5000 0.5000 Ir
0.5000 0.0000 0.5000 Ir
0.0000 0.0000 0.5000 F
```